[1]
This entry pairs a crystal structure of InPd17 with its simulated XRD peak list. Radiation: Cu Kα (weighted mean of Kα1 and Kα2). Structure: a DFT-relaxed cell (PBE, OQMD).
Lines closer than 0.1° are merged.

The 12 most intense peaks (10 to 80 degrees two-theta), low angle first:
- 10.6 deg, I = 18
- 37.7 deg, I = 26
- 39.2 deg, I = 38
- 40.1 deg, I = 100
- 40.5 deg, I = 28
- 41.1 deg, I = 16
- 45.1 deg, I = 34
- 46.7 deg, I = 61
- 65.9 deg, I = 16
- 67.9 deg, I = 24
- 68.5 deg, I = 16
- 79.7 deg, I = 10

Structure:
a b c (Å): 4.779 5.526 33.410
angles (deg): 90.00 90.03 90.00
Space group P2_1/m (No. 11)
Inequivalent atoms, fractional coordinates:
In1 0.167 0.250 0.275 [2 per cell]
Pd1 0.000 0.000 0.000 [2 per cell]
Pd2 0.001 0.001 0.796 [4 per cell]
Pd3 0.166 0.750 0.068 [2 per cell]
Pd4 0.166 0.750 0.864 [2 per cell]
Pd5 0.167 0.250 0.068 [2 per cell]
Pd6 0.167 0.750 0.274 [2 per cell]
Pd7 0.168 0.250 0.864 [2 per cell]
Pd8 0.333 0.000 0.136 [4 per cell]
Pd9 0.334 0.000 0.932 [4 per cell]
Pd10 0.334 0.004 0.727 [4 per cell]
Pd11 0.500 0.250 0.000 [2 per cell]
Pd12 0.500 0.250 0.204 [2 per cell]
Pd13 0.500 0.250 0.796 [2 per cell]

***

[2]
This entry pairs a crystal structure of ErAlGaCo with its simulated XRD peak list. Radiation: Cu Kα (weighted mean of Kα1 and Kα2). Structure: a DFT-relaxed cell (PBE, OQMD).
Lines closer than 0.1° are merged.

The 12 most intense peaks (10 to 80 degrees two-theta), low angle first:
- 23.8 deg, I = 57
- 25.9 deg, I = 46
- 35.1 deg, I = 25
- 35.4 deg, I = 100
- 35.6 deg, I = 62
- 37.5 deg, I = 46
- 37.7 deg, I = 98
- 38.5 deg, I = 54
- 38.8 deg, I = 27
- 45.0 deg, I = 49
- 53.4 deg, I = 27
- 60.7 deg, I = 28

Structure:
a b c (Å): 9.903 4.029 6.885
angles (deg): 90.00 90.66 90.00
Space group C2/m (No. 12)
Inequivalent atoms, fractional coordinates:
Er1 0.064 0.000 0.253 [4 per cell]
Al1 0.157 0.500 0.945 [4 per cell]
Ga1 0.150 0.500 0.555 [4 per cell]
Co1 0.214 0.000 0.747 [4 per cell]

***

[3]
This entry pairs a crystal structure of La5GdMg6Ag6 with its simulated XRD peak list. Radiation: Cu Kα (weighted mean of Kα1 and Kα2). Structure: a DFT-relaxed cell (PBE, OQMD).
Lines closer than 0.1° are merged.

The 12 most intense peaks (10 to 80 degrees two-theta), low angle first:
- 22.7 deg, I = 32
- 26.2 deg, I = 22
- 30.7 deg, I = 74
- 33.5 deg, I = 100
- 34.9 deg, I = 21
- 39.8 deg, I = 27
- 40.8 deg, I = 25
- 41.6 deg, I = 23
- 48.3 deg, I = 17
- 52.9 deg, I = 22
- 58.9 deg, I = 16
- 63.3 deg, I = 14

Structure:
a b c (Å): 4.346 13.607 7.840
angles (deg): 90.00 90.00 90.00
Space group Pmm2 (No. 25)
Inequivalent atoms, fractional coordinates:
La1 0.000 0.000 0.000 [1 per cell]
La2 0.000 0.210 0.376 [2 per cell]
La3 0.000 0.294 0.872 [2 per cell]
Gd1 0.000 0.500 0.496 [1 per cell]
Mg1 0.500 0.000 0.345 [1 per cell]
Mg2 0.500 0.120 0.701 [2 per cell]
Mg3 0.500 0.383 0.204 [2 per cell]
Mg4 0.500 0.500 0.840 [1 per cell]
Ag1 0.000 0.000 0.583 [1 per cell]
Ag2 0.000 0.500 0.087 [1 per cell]
Ag3 0.500 0.168 0.082 [2 per cell]
Ag4 0.500 0.340 0.578 [2 per cell]